This entry pairs a crystal structure of YCu3Mo4O12 with its calculated PXRD pattern. Radiation: Cu Kα (λ = 1.5418 Å). Structure: a DFT-relaxed cell (GGA+U, Alexandria).
Kinematic intensities with the Lorentz-polarization factor, no thermal factor.

Cell and atoms:
```
data_YCu3Mo4O12
_chemical_formula_sum 'Y2 Cu6 Mo8 O24'
_symmetry_space_group_name_H-M 'I m -3'
_symmetry_Int_Tables_number 204
_symmetry_space_group_name_Hall '-I 2 2 3'
_cell_length_a 7.707
_cell_length_b 7.707
_cell_length_c 7.707
_cell_angle_alpha 90.00
_cell_angle_beta 90.00
_cell_angle_gamma 90.00
loop_
_atom_site_label
_atom_site_type_symbol
_atom_site_fract_x
_atom_site_fract_y
_atom_site_fract_z
_atom_site_occupancy
Y1 Y 0.000 0.000 0.000 1
Cu1 Cu 0.000 0.000 0.500 1
Mo1 Mo 0.250 0.250 0.250 1
O1 O 0.000 0.298 0.167 1
```

Top 6 peaks for 10 to 90 degrees two-theta, in order of rising 2θ:
| index | Position (°2θ) | I (rel.) |
| --- | --- | --- |
| 2 0 0 | 23.08 | 4.4 |
| 2 2 0 | 32.87 | 100.0 |
| 4 0 0 | 47.17 | 24.5 |
| 4 2 2 | 58.68 | 47.2 |
| 4 4 0 | 68.92 | 12.4 |
| 6 2 0 | 78.49 | 16.7 |